Diffraction record for ErPaTeIr. The powder XRD pattern is calculated, not measured: it uses a DFT-relaxed cell (GGA-PBE, Alexandria) and Cu Kα, 1.54184 Å.

The 8 most intense peaks (2θ = 10–90°), by intensity:
- (0 1 5), d = 2.765 Å, 32.37 deg, intensity 100.0
- (1 1 0), d = 2.032 Å, 44.59 deg, intensity 48.4
- (0 1 2), d = 3.357 Å, 26.55 deg, intensity 34.0
- (0 0 3), d = 7.451 Å, 11.88 deg, intensity 28.3
- (1 0 7), d = 2.365 Å, 38.05 deg, intensity 25.5
- (1 0 10), d = 1.887 Å, 48.23 deg, intensity 22.4
- (2 0 5), d = 1.637 Å, 56.17 deg, intensity 21.3
- (1 2 5), d = 1.275 Å, 74.40 deg, intensity 18.7

Cell and atoms:
```
ErPaTeIr
1.0
4.064 0.000 0.000
-2.032 3.520 0.000
0.000 0.000 22.352
Er Pa Te Ir
3 3 3 3
Direct
0.000 0.000 0.000
0.333 0.667 0.667
0.667 0.333 0.333
0.000 0.000 0.803
0.333 0.667 0.469
0.667 0.333 0.136
0.000 0.000 0.235
0.333 0.667 0.902
0.667 0.333 0.568
0.000 0.000 0.406
0.333 0.667 0.073
0.667 0.333 0.739
```